Record 1
Diffraction record for Ba3Sr. The powder diffractogram is computed, not measured: it uses DFT lattice parameters and positions (PBE) and Cu Kα X-rays.
No peak broadening, texture or thermal motion is included.

Top 10 peaks for 10 to 80 degrees two-theta, low angle first:
Position (°2θ)  d_spacing  Rel. int.
24.35  3.655  100
27.50  3.243  18
28.53  3.128  34
40.05  2.251  27
40.79  2.212  13
46.77  1.942  17
48.08  1.892  31
49.91  1.827  14
63.77  1.460  13
64.80  1.439  13

Structure:
```
Ba3Sr
1.0
-3.1282 3.1282 6.4859
3.1282 -3.1282 6.4859
3.1282 3.1282 -6.4859
Ba Sr
3 1
Cartesian
0.0000 0.0000 0.0000
3.1282 0.0000 3.2430
0.0000 3.1282 3.2430
0.0000 0.0000 6.4859
```



Record 2
Diffraction record for BiPtO3. The powder diffractogram is computed, not measured: it uses DFT lattice parameters and positions (PBE) and Cu Kα X-rays.
No peak broadening, texture or thermal motion is included.

Top 6 peaks for 10 to 80 degrees two-theta, low angle first:
Position (°2θ)  d_spacing  Rel. int.
31.07  2.878  100
38.30  2.350  1
44.51  2.035  26
55.28  1.662  41
64.78  1.439  17
73.58  1.287  18

Structure:
```
BiPtO3
1.0
4.0707 0.0000 0.0000
0.0000 4.0707 0.0000
0.0000 0.0000 4.0707
Bi Pt O
1 1 3
Cartesian
0.0000 0.0000 0.0000
2.0354 2.0354 2.0354
0.0000 2.0354 2.0354
2.0354 0.0000 2.0354
2.0354 2.0354 0.0000
```



Record 3
Diffraction record for AlCo2Si. The powder diffractogram is computed, not measured: it uses DFT lattice parameters and positions (PBE) and Cu Kα X-rays.
No peak broadening, texture or thermal motion is included.

Top 10 peaks for 10 to 80 degrees two-theta, low angle first:
Position (°2θ)  d_spacing  Rel. int.
18.04  4.917  51
34.13  2.627  9
36.55  2.458  60
40.85  2.209  100
41.09  2.197  49
44.98  2.015  24
45.21  2.006  10
55.96  1.643  65
56.15  1.638  33
74.70  1.271  19

Structure:
```
AlCo2Si
1.0
-1.2779 2.1966 4.9168
1.2779 -2.1966 4.9168
1.2779 2.1966 -4.9168
Al Co Si
1 2 1
Cartesian
0.0000 0.0000 0.0000
0.0000 0.0000 2.6385
0.0000 0.0000 7.1951
0.0000 0.0000 4.9168
```



Record 4
Diffraction record for MnNiSb2. The powder diffractogram is computed, not measured: it uses DFT lattice parameters and positions (PBE) and Cu Kα X-rays.
No peak broadening, texture or thermal motion is included.

Top 10 peaks for 10 to 80 degrees two-theta, low angle first:
Position (°2θ)  d_spacing  Rel. int.
30.59  2.923  100
32.79  2.731  4
42.15  2.144  56
45.40  1.998  50
55.74  1.649  18
57.16  1.611  22
63.67  1.461  15
68.75  1.365  4
74.62  1.272  15
75.86  1.254  7

Structure:
```
MnNiSb2
1.0
3.9953 0.0000 0.0000
-1.9977 3.4601 0.0000
0.0000 0.0000 5.4618
Mn Ni Sb
1 1 2
Cartesian
0.0000 0.0000 0.0000
0.0000 0.0000 2.7309
0.0000 2.3067 4.0110
1.9977 1.1534 1.4508
```



Record 5
Diffraction record for MnAlIr2. The powder diffractogram is computed, not measured: it uses DFT lattice parameters and positions (PBE) and Cu Kα X-rays.
No peak broadening, texture or thermal motion is included.

Top 10 peaks for 10 to 80 degrees two-theta, low angle first:
Position (°2θ)  d_spacing  Rel. int.
29.00  3.079  28
30.00  2.979  51
42.21  2.141  100
42.94  2.106  48
52.65  1.738  22
62.34  1.489  16
68.63  1.368  10
70.20  1.341  10
76.68  1.243  17
78.18  1.223  33

Structure:
```
MnAlIr2
1.0
2.9788 0.0000 0.0000
0.0000 2.9788 0.0000
0.0000 0.0000 6.1574
Mn Al Ir
1 1 2
Cartesian
0.0000 0.0000 0.0000
0.0000 0.0000 3.0787
1.4894 1.4894 1.5783
1.4894 1.4894 4.5791
```



Record 6
Diffraction record for CaMg6Al. The powder diffractogram is computed, not measured: it uses DFT lattice parameters and positions (PBE) and Cu Kα X-rays.
No peak broadening, texture or thermal motion is included.

Top 10 peaks for 10 to 80 degrees two-theta, low angle first:
Position (°2θ)  d_spacing  Rel. int.
31.39  2.850  27
31.54  2.837  11
34.93  2.569  37
36.04  2.492  100
36.17  2.483  52
47.66  1.908  16
56.06  1.640  18
63.39  1.467  27
67.78  1.383  19
68.31  1.373  14

Structure:
```
CaMg6Al
1.0
5.1372 0.0000 0.0000
0.0000 3.2961 5.6736
0.0000 -3.2961 5.6736
Ca Mg Al
1 6 1
Cartesian
0.0000 0.0000 0.0000
0.0000 -1.5980 2.7940
0.0000 1.5980 2.7940
0.0000 0.0000 5.5970
2.5686 -1.5883 4.6391
2.5686 1.5883 4.6391
2.5686 0.0000 7.5116
2.5686 0.0000 1.8779
```